Entry 1:
Starting from a cell relaxed with PBE+U, the powder XRD pattern of Li3FeSi2O7 was simulated for Cu Kα X-rays.
Peak positions follow from Bragg's law for the DFT cell and can differ from measured ones.

Structural model:
abc: 8.9642 12.4881 5.0270
angles: 90.00 90.00 90.00
Atoms (fractional coordinates):
1 Li 0.0151 0.2500 0.0310
2 Li 0.1620 0.5910 0.5338
3 Li 0.1620 0.9090 0.5338
4 Li 0.3380 0.0910 0.0338
5 Li 0.3380 0.4090 0.0338
6 Li 0.4849 0.7500 0.5310
7 Li 0.5151 0.2500 0.4690
8 Li 0.6620 0.5910 0.9662
9 Li 0.6620 0.9090 0.9662
10 Li 0.8380 0.0910 0.4662
11 Li 0.8380 0.4090 0.4662
12 Li 0.9849 0.7500 0.9690
13 Fe 0.0000 0.0000 0.0000
14 Fe 0.0000 0.5000 0.0000
15 Fe 0.5000 0.0000 0.5000
16 Fe 0.5000 0.5000 0.5000
17 Si 0.1821 0.1313 0.5087
18 Si 0.1821 0.3687 0.5087
19 Si 0.3179 0.6313 0.0087
20 Si 0.3179 0.8687 0.0087
21 Si 0.6821 0.1313 0.9913
22 Si 0.6821 0.3687 0.9913
23 Si 0.8179 0.6313 0.4913
24 Si 0.8179 0.8687 0.4913
25 O 0.1006 0.0382 0.3335
26 O 0.1006 0.4618 0.3335
27 O 0.1121 0.2500 0.4098
28 O 0.1400 0.6287 0.9307
29 O 0.1400 0.8713 0.9307
30 O 0.1474 0.1164 0.8262
31 O 0.1474 0.3836 0.8262
32 O 0.3526 0.6164 0.3262
33 O 0.3526 0.8836 0.3262
34 O 0.3600 0.1287 0.4307
35 O 0.3600 0.3713 0.4307
36 O 0.3879 0.7500 0.9098
37 O 0.3994 0.5382 0.8335
38 O 0.3994 0.9618 0.8335
39 O 0.6006 0.0382 0.1665
40 O 0.6006 0.4618 0.1665
41 O 0.6121 0.2500 0.0902
42 O 0.6400 0.6287 0.5693
43 O 0.6400 0.8713 0.5693
44 O 0.6474 0.1164 0.6738
45 O 0.6474 0.3836 0.6738
46 O 0.8526 0.6164 0.1738
47 O 0.8526 0.8836 0.1738
48 O 0.8600 0.1287 0.0693
49 O 0.8600 0.3713 0.0693
50 O 0.8879 0.7500 0.5902
51 O 0.8994 0.5382 0.6665
52 O 0.8994 0.9618 0.6665

Peak list (8 most intense, 10° ≤ 2θ ≤ 90°, by angle)
| 2θ (°) | d/Å | intensity |
| --- | --- | --- |
| 14.18 | 6.244 | 88 |
| 21.06 | 4.219 | 39 |
| 21.48 | 4.137 | 86 |
| 24.45 | 3.641 | 37 |
| 24.81 | 3.588 | 53 |
| 34.99 | 2.564 | 100 |
| 35.72 | 2.514 | 27 |
| 62.54 | 1.485 | 25 |

=====

Entry 2:
Starting from a cell relaxed with PBE+U, the powder XRD pattern of Na5LiFe2P2C2O14 was simulated for Cu Kα X-rays.
Peak positions follow from Bragg's law for the DFT cell and can differ from measured ones.

Structural model:
abc: 5.2184 6.6378 8.9582
angles: 89.43 88.91 89.85
Atoms (fractional coordinates):
1 Na 0.0000 0.0000 0.0000
2 Na 0.0007 0.5063 0.0003
3 Na 0.0144 0.2406 0.3456
4 Na 0.4870 0.7611 0.1815
5 Na 0.5024 0.5030 0.5234
6 Li 0.4804 0.0272 0.5479
7 Fe 0.0353 0.7582 0.6124
8 Fe 0.4700 0.2523 0.9080
9 P 0.5521 0.7583 0.8430
10 P 0.9605 0.2500 0.6745
11 C 0.5239 0.2445 0.2093
12 C 0.9720 0.7548 0.3213
13 O 0.0213 0.4444 0.5818
14 O 0.0735 0.0725 0.5807
15 O 0.0818 0.2558 0.8304
16 O 0.1978 0.7480 0.3810
17 O 0.3034 0.2497 0.1424
18 O 0.4276 0.7715 0.6878
19 O 0.4675 0.5655 0.9323
20 O 0.4720 0.9400 0.9437
21 O 0.5341 0.2326 0.3537
22 O 0.6626 0.2269 0.6916
23 O 0.7330 0.2516 0.1272
24 O 0.7697 0.7673 0.4084
25 O 0.8497 0.7559 0.8237
26 O 0.9501 0.7502 0.1775

Peak list (8 most intense, 10° ≤ 2θ ≤ 90°, by angle)
| 2θ (°) | d/Å | intensity |
| --- | --- | --- |
| 19.53 | 4.546 | 32 |
| 19.86 | 4.472 | 31 |
| 25.97 | 3.431 | 30 |
| 26.86 | 3.319 | 100 |
| 33.56 | 2.670 | 33 |
| 33.74 | 2.657 | 38 |
| 34.36 | 2.610 | 92 |
| 55.36 | 1.659 | 30 |

=====

Entry 3:
Starting from a cell relaxed with PBE+U, the powder XRD pattern of Li3VF7 was simulated for Cu Kα X-rays.
Peak positions follow from Bragg's law for the DFT cell and can differ from measured ones.

Structural model:
abc: 5.8073 5.8073 5.8073
angles: 63.76 63.76 63.76
Atoms (fractional coordinates):
1 Li 0.0092 0.4954 0.4954
2 Li 0.4954 0.0092 0.4954
3 Li 0.4954 0.4954 0.0092
4 V 0.1206 0.1206 0.1206
5 F 0.3389 0.3389 0.9000
6 F 0.3389 0.9000 0.3389
7 F 0.3415 0.8890 0.8890
8 F 0.3662 0.3662 0.3662
9 F 0.8890 0.3415 0.8890
10 F 0.8890 0.8890 0.3415
11 F 0.9000 0.3389 0.3389

Peak list (8 most intense, 10° ≤ 2θ ≤ 90°, by angle)
| 2θ (°) | d/Å | intensity |
| --- | --- | --- |
| 17.89 | 4.958 | 100 |
| 19.29 | 4.602 | 22 |
| 21.10 | 4.210 | 67 |
| 35.16 | 2.552 | 16 |
| 36.24 | 2.479 | 20 |
| 42.96 | 2.105 | 47 |
| 60.36 | 1.534 | 18 |
| 64.37 | 1.447 | 14 |

=====

Entry 4:
Starting from a cell relaxed with PBE+U, the powder XRD pattern of Sr3WO6 was simulated for Cu Kα X-rays.
Peak positions follow from Bragg's law for the DFT cell and can differ from measured ones.

Structural model:
abc: 10.2429 10.2716 10.3140
angles: 80.60 71.31 60.54
Atoms (fractional coordinates):
1 Sr 0.0000 0.0000 0.0000
2 Sr 0.0133 0.3053 0.1498
3 Sr 0.0988 0.6184 0.9356
4 Sr 0.1175 0.6974 0.5846
5 Sr 0.1428 0.0088 0.6348
6 Sr 0.2099 0.3387 0.4160
7 Sr 0.2862 0.6637 0.1897
8 Sr 0.4040 0.9651 0.9189
9 Sr 0.4179 0.2903 0.0462
10 Sr 0.4495 0.3573 0.6608
11 Sr 0.5268 0.6713 0.4364
12 Sr 0.5396 0.0190 0.5403
13 Sr 0.6472 0.9472 0.1625
14 Sr 0.6917 0.5952 0.0596
15 Sr 0.7325 0.3318 0.8550
16 Sr 0.8025 0.6307 0.6481
17 Sr 0.8338 0.3054 0.4980
18 Sr 0.9156 0.9634 0.3661
19 W 0.1033 0.3134 0.7896
20 W 0.2744 0.9805 0.2839
21 W 0.4440 0.6559 0.7825
22 W 0.6047 0.3192 0.2896
23 W 0.7677 0.9807 0.7940
24 W 0.9478 0.6433 0.2785
25 O 0.0456 0.5254 0.7451
26 O 0.0590 0.6619 0.3907
27 O 0.1069 0.1738 0.3620
28 O 0.1559 0.9841 0.1666
29 O 0.1624 0.4842 0.1803
30 O 0.1656 0.1003 0.8289
31 O 0.1721 0.8772 0.4219
32 O 0.2062 0.3225 0.9154
33 O 0.2783 0.7743 0.9299
34 O 0.2901 0.2511 0.6306
35 O 0.3224 0.6761 0.6635
36 O 0.3701 0.0782 0.1376
37 O 0.3836 0.9701 0.4126
38 O 0.4116 0.4745 0.4093
39 O 0.4212 0.4787 0.8694
40 O 0.4520 0.7851 0.2092
41 O 0.4845 0.8165 0.6789
42 O 0.4999 0.2040 0.2848
43 O 0.5487 0.4259 0.1239
44 O 0.5551 0.1027 0.7786
45 O 0.6053 0.6181 0.8647
46 O 0.6269 0.5049 0.6412
47 O 0.6577 0.2062 0.4606
48 O 0.7032 0.8466 0.9206
49 O 0.7118 0.4354 0.2919
50 O 0.7155 0.0981 0.9583
51 O 0.7467 0.8084 0.3693
52 O 0.8092 0.1649 0.1952
53 O 0.8211 0.8726 0.6281
54 O 0.8373 0.1244 0.6851
55 O 0.8799 0.6118 0.1379
56 O 0.9085 0.5038 0.4069
57 O 0.9155 0.3578 0.9442
58 O 0.9852 0.3208 0.6673
59 O 0.9874 0.8631 0.8045
60 O 0.9893 0.7987 0.1565

Peak list (8 most intense, 10° ≤ 2θ ≤ 90°, by angle)
| 2θ (°) | d/Å | intensity |
| --- | --- | --- |
| 18.28 | 4.852 | 48 |
| 29.83 | 2.995 | 52 |
| 29.97 | 2.982 | 100 |
| 30.06 | 2.973 | 99 |
| 30.27 | 2.953 | 53 |
| 42.57 | 2.124 | 24 |
| 43.02 | 2.102 | 26 |
| 53.12 | 1.724 | 33 |

=====

Entry 5:
Starting from a cell relaxed with PBE+U, the powder XRD pattern of Li5Mn8B8O24 was simulated for Cu Kα X-rays.
Peak positions follow from Bragg's law for the DFT cell and can differ from measured ones.

Structural model:
abc: 5.3198 9.1021 11.4904
angles: 67.26 78.35 89.60
Atoms (fractional coordinates):
1 Li 0.0000 0.0000 0.0000
2 Li 0.0876 0.3905 0.2436
3 Li 0.3438 0.6200 0.7301
4 Li 0.5737 0.8806 0.2398
5 Li 0.8302 0.1285 0.7300
6 Mn 0.0515 0.7015 0.2795
7 Mn 0.2471 0.8930 0.5155
8 Mn 0.3087 0.2655 0.7769
9 Mn 0.4865 0.8091 0.0248
10 Mn 0.5660 0.1857 0.2737
11 Mn 0.7364 0.4178 0.5260
12 Mn 0.8146 0.7907 0.7684
13 Mn 0.9969 0.3359 0.0186
14 B 0.0461 0.0374 0.2701
15 B 0.2572 0.5452 0.5318
16 B 0.2858 0.9373 0.7779
17 B 0.4944 0.1444 0.0393
18 B 0.5454 0.5210 0.2816
19 B 0.7413 0.0620 0.5297
20 B 0.8140 0.4568 0.7660
21 B 0.9940 0.6669 0.0271
22 O 0.0406 0.5623 0.4790
23 O 0.0427 0.4283 0.8106
24 O 0.0814 0.5206 0.0634
25 O 0.0823 0.7798 0.0681
26 O 0.1280 0.0491 0.7982
27 O 0.2070 0.8275 0.7316
28 O 0.2752 0.1764 0.9874
29 O 0.2872 0.0099 0.3054
30 O 0.3591 0.3956 0.5696
31 O 0.3660 0.6703 0.5452
32 O 0.4277 0.3940 0.2754
33 O 0.4595 0.6752 0.2339
34 O 0.5286 0.9278 0.8087
35 O 0.5559 0.0669 0.4572
36 O 0.5925 0.2504 0.0857
37 O 0.6234 0.0114 0.0444
38 O 0.6780 0.5826 0.7671
39 O 0.7218 0.3456 0.7207
40 O 0.7691 0.5052 0.3343
41 O 0.8036 0.7121 0.9531
42 O 0.8180 0.1864 0.5526
43 O 0.8438 0.9110 0.5820
44 O 0.9059 0.9155 0.2670
45 O 0.9576 0.1898 0.2407

Peak list (8 most intense, 10° ≤ 2θ ≤ 90°, by angle)
| 2θ (°) | d/Å | intensity |
| --- | --- | --- |
| 19.51 | 4.551 | 69 |
| 21.42 | 4.148 | 100 |
| 25.42 | 3.504 | 31 |
| 25.66 | 3.471 | 29 |
| 33.93 | 2.642 | 31 |
| 34.12 | 2.628 | 35 |
| 34.68 | 2.587 | 83 |
| 39.82 | 2.264 | 24 |

=====

Entry 6:
Starting from a cell relaxed with PBE+U, the powder XRD pattern of Li3FeF6 was simulated for Cu Kα X-rays.
Peak positions follow from Bragg's law for the DFT cell and can differ from measured ones.

Structural model:
abc: 5.1340 5.1340 9.5279
angles: 90.00 90.00 120.00
Atoms (fractional coordinates):
1 Li 0.3333 0.6667 0.0372
2 Li 0.3333 0.6667 0.4628
3 Li 0.3333 0.6667 0.7500
4 Li 0.6667 0.3333 0.2500
5 Li 0.6667 0.3333 0.5372
6 Li 0.6667 0.3333 0.9628
7 Fe 0.0000 0.0000 0.0000
8 Fe 0.0000 0.0000 0.5000
9 F 0.0293 0.3383 0.8903
10 F 0.0293 0.6910 0.6097
11 F 0.3090 0.3383 0.6097
12 F 0.3090 0.9707 0.8903
13 F 0.3383 0.0293 0.3903
14 F 0.3383 0.3090 0.1097
15 F 0.6617 0.6910 0.8903
16 F 0.6617 0.9707 0.6097
17 F 0.6910 0.0293 0.1097
18 F 0.6910 0.6617 0.3903
19 F 0.9707 0.3090 0.3903
20 F 0.9707 0.6617 0.1097

Peak list (8 most intense, 10° ≤ 2θ ≤ 90°, by angle)
| 2θ (°) | d/Å | intensity |
| --- | --- | --- |
| 18.63 | 4.764 | 80 |
| 19.97 | 4.446 | 80 |
| 27.44 | 3.250 | 80 |
| 39.89 | 2.260 | 100 |
| 45.00 | 2.015 | 18 |
| 52.40 | 1.746 | 55 |
| 58.22 | 1.585 | 17 |
| 62.69 | 1.482 | 28 |